No. 1
The following is a computed powder XRD pattern of Ti2Re4W. It was derived from a cell relaxed with PBE, using a wavelength of 1.5418 Å.

The 6 most intense peaks (2θ = 10–80°), sorted by position:
2θ (°), I_rel, hkl
20.45, 22, 1 0 1
29.16, 26, 2 0 0
41.57, 100, 2 0 2
41.71, 50, 2 2 0
75.76, 17, 2 2 4
76.05, 34, 4 2 2

```
data_Ti2Re4W
_space_group_name_H-M_alt 'I 4/m m m'
_space_group_IT_number 139
_space_group_name_Hall '-I 4 2'
_cell_length_a 6.1246
_cell_length_b 6.1246
_cell_length_c 6.1637
_cell_angle_alpha 90.00
_cell_angle_beta 90.00
_cell_angle_gamma 90.00
loop_
_atom_site_label
_atom_site_type_symbol
_atom_site_fract_x
_atom_site_fract_y
_atom_site_fract_z
_atom_site_occupancy
Ti1 Ti 0.0000 0.5000 0.0000 1
Re1 Re 0.2500 0.2500 0.2500 1
W1 W 0.0000 0.0000 0.0000 1
```

***

No. 2
The following is a computed powder XRD pattern of Ti3ReW. It was derived from a cell relaxed with PBE, using a wavelength of 1.5418 Å.

The 6 most intense peaks (2θ = 10–80°), sorted by position:
2θ (°), I_rel, hkl
22.72, 27, 0 0 2
28.47, 44, 1 1 0
39.79, 27, 2 0 -1
39.90, 26, 0 2 0
40.30, 100, 1 1 2
72.67, 18, 3 1 1

```
data_Ti3ReW
_space_group_name_H-M_alt 'P 1 21/m 1'
_space_group_IT_number 11
_cell_length_a 4.5309
_cell_length_b 4.5192
_cell_length_c 8.1540
_cell_angle_alpha 90.00
_cell_angle_beta 106.24
_cell_angle_gamma 90.00
loop_
_space_group_symop_operation_xyz
'x,y,z'
'-x,-y,-z'
'-x,y+1/2,-z'
'x,-y+1/2,z'
loop_
_atom_site_label
_atom_site_type_symbol
_atom_site_fract_x
_atom_site_fract_y
_atom_site_fract_z
_atom_site_occupancy
Ti1 Ti 0.0581 0.2500 0.1162 1
Ti2 Ti 0.2495 0.2500 0.4994 1
Ti3 Ti 0.4399 0.2500 0.8797 1
Re1 Re 0.3493 0.7500 0.6995 1
W1 W 0.1460 0.7500 0.2910 1
```